Diffraction record for ReW2. The XRD peak list is calculated, not measured: it uses a GGA-PBE-relaxed structure and CuKα.
Kinematic intensities with the Lorentz-polarization factor, no thermal factor.

```
ReW2
1.0
9.709 0.000 0.000
0.000 9.709 0.000
0.000 0.000 5.059
Re W
10 20
Direct
0.000 0.000 0.000
0.067 0.259 0.000
0.241 0.567 0.500
0.259 0.067 0.000
0.433 0.759 0.500
0.500 0.500 0.500
0.567 0.241 0.500
0.741 0.933 0.000
0.759 0.433 0.500
0.933 0.741 0.000
0.036 0.370 0.500
0.101 0.101 0.500
0.130 0.536 0.000
0.183 0.817 0.251
0.183 0.817 0.749
0.317 0.317 0.249
0.317 0.317 0.751
0.370 0.036 0.500
0.399 0.601 0.000
0.464 0.870 0.000
0.536 0.130 0.000
0.601 0.399 0.000
0.630 0.964 0.500
0.683 0.683 0.249
0.683 0.683 0.751
0.817 0.183 0.251
0.817 0.183 0.749
0.870 0.464 0.000
0.899 0.899 0.500
0.964 0.630 0.500
```

The 10 most intense peaks (15° ≤ 2θ ≤ 90°), sorted by position:
- 2θ 35.49, d = 2.530 Å, I 21
- 2θ 38.22, d = 2.355 Å, I 81
- 2θ 39.37, d = 2.289 Å, I 36
- 2θ 40.20, d = 2.243 Å, I 33
- 2θ 41.31, d = 2.186 Å, I 66
- 2θ 42.34, d = 2.135 Å, I 100
- 2θ 43.40, d = 2.085 Å, I 50
- 2θ 67.32, d = 1.391 Å, I 21
- 2θ 68.43, d = 1.371 Å, I 24
- 2θ 70.62, d = 1.334 Å, I 17

***

Diffraction record for Re13W2. The XRD peak list is calculated, not measured: it uses a GGA-PBE-relaxed structure and CuKα.
Kinematic intensities with the Lorentz-polarization factor, no thermal factor.

```
Re13W2
1.0
9.567 0.000 0.000
0.000 9.567 0.000
0.000 0.000 4.982
Re W
26 4
Direct
0.000 0.000 0.000
0.037 0.367 0.500
0.064 0.263 0.000
0.133 0.537 0.000
0.184 0.816 0.252
0.184 0.816 0.748
0.237 0.564 0.500
0.263 0.064 0.000
0.316 0.316 0.248
0.316 0.316 0.752
0.367 0.037 0.500
0.436 0.763 0.500
0.463 0.867 0.000
0.500 0.500 0.500
0.537 0.133 0.000
0.564 0.237 0.500
0.633 0.963 0.500
0.684 0.684 0.248
0.684 0.684 0.752
0.737 0.936 0.000
0.763 0.436 0.500
0.816 0.184 0.252
0.816 0.184 0.748
0.867 0.463 0.000
0.936 0.737 0.000
0.963 0.633 0.500
0.102 0.102 0.500
0.398 0.602 0.000
0.602 0.398 0.000
0.898 0.898 0.500
```

The 10 most intense peaks (15° ≤ 2θ ≤ 90°), sorted by position:
- 2θ 36.06, d = 2.491 Å, I 21
- 2θ 38.81, d = 2.320 Å, I 88
- 2θ 39.98, d = 2.255 Å, I 39
- 2θ 40.85, d = 2.209 Å, I 34
- 2θ 41.97, d = 2.153 Å, I 67
- 2θ 43.00, d = 2.103 Å, I 100
- 2θ 44.08, d = 2.054 Å, I 48
- 2θ 68.48, d = 1.370 Å, I 20
- 2θ 69.62, d = 1.350 Å, I 24
- 2θ 89.26, d = 1.097 Å, I 18

***

Diffraction record for Re2W13. The XRD peak list is calculated, not measured: it uses a GGA-PBE-relaxed structure and CuKα.
Kinematic intensities with the Lorentz-polarization factor, no thermal factor.

```
Re2W13
1.0
9.735 0.000 0.000
0.000 9.735 0.000
0.000 0.000 5.142
Re W
4 26
Direct
0.098 0.098 0.000
0.402 0.598 0.500
0.598 0.402 0.500
0.902 0.902 0.000
0.000 0.000 0.500
0.037 0.365 0.000
0.064 0.261 0.500
0.135 0.537 0.500
0.186 0.814 0.249
0.186 0.814 0.751
0.239 0.564 0.000
0.261 0.064 0.500
0.314 0.314 0.251
0.314 0.314 0.749
0.365 0.037 0.000
0.436 0.761 0.000
0.463 0.865 0.500
0.500 0.500 0.000
0.537 0.135 0.500
0.564 0.239 0.000
0.635 0.963 0.000
0.686 0.686 0.251
0.686 0.686 0.749
0.739 0.936 0.500
0.761 0.436 0.000
0.814 0.186 0.249
0.814 0.186 0.751
0.865 0.463 0.500
0.936 0.739 0.500
0.963 0.635 0.000
```

The 10 most intense peaks (15° ≤ 2θ ≤ 90°), sorted by position:
- 2θ 34.90, d = 2.571 Å, I 23
- 2θ 38.11, d = 2.361 Å, I 90
- 2θ 39.26, d = 2.295 Å, I 37
- 2θ 39.65, d = 2.273 Å, I 38
- 2θ 40.76, d = 2.214 Å, I 68
- 2θ 42.11, d = 2.146 Å, I 100
- 2θ 43.17, d = 2.095 Å, I 50
- 2θ 66.81, d = 1.400 Å, I 20
- 2θ 67.53, d = 1.387 Å, I 25
- 2θ 68.33, d = 1.373 Å, I 23

***

Diffraction record for Re5W. The XRD peak list is calculated, not measured: it uses a GGA-PBE-relaxed structure and CuKα.
Kinematic intensities with the Lorentz-polarization factor, no thermal factor.

```
Re5W
1.0
5.099 0.000 0.000
-2.549 4.416 0.000
0.000 0.000 16.641
Re W
20 4
Direct
0.000 0.000 0.089
0.000 0.000 0.411
0.000 0.000 0.589
0.000 0.000 0.911
0.000 0.500 0.000
0.000 0.500 0.500
0.160 0.319 0.250
0.160 0.840 0.250
0.319 0.160 0.750
0.333 0.667 0.128
0.333 0.667 0.372
0.500 0.000 0.000
0.500 0.000 0.500
0.500 0.500 0.000
0.500 0.500 0.500
0.667 0.333 0.628
0.667 0.333 0.872
0.681 0.840 0.250
0.840 0.160 0.750
0.840 0.681 0.750
0.333 0.667 0.655
0.333 0.667 0.845
0.667 0.333 0.155
0.667 0.333 0.345
```

The 10 most intense peaks (15° ≤ 2θ ≤ 90°), sorted by position:
- 2θ 35.20, d = 2.549 Å, I 28
- 2θ 38.32, d = 2.349 Å, I 60
- 2θ 41.55, d = 2.174 Å, I 100
- 2θ 42.36, d = 2.134 Å, I 71
- 2θ 43.51, d = 2.080 Å, I 19
- 2θ 44.15, d = 2.051 Å, I 21
- 2θ 65.24, d = 1.430 Å, I 23
- 2θ 67.51, d = 1.387 Å, I 29
- 2θ 70.92, d = 1.329 Å, I 24
- 2θ 74.43, d = 1.275 Å, I 29

***

Diffraction record for Re8W7. The XRD peak list is calculated, not measured: it uses a GGA-PBE-relaxed structure and CuKα.
Kinematic intensities with the Lorentz-polarization factor, no thermal factor.

```
Re8W7
1.0
9.661 0.000 0.000
0.000 9.661 0.000
0.000 0.000 5.027
Re W
16 14
Direct
0.067 0.261 0.000
0.184 0.816 0.250
0.184 0.816 0.750
0.239 0.567 0.500
0.261 0.067 0.000
0.316 0.316 0.250
0.316 0.316 0.750
0.433 0.761 0.500
0.567 0.239 0.500
0.684 0.684 0.250
0.684 0.684 0.750
0.739 0.933 0.000
0.761 0.433 0.500
0.816 0.184 0.250
0.816 0.184 0.750
0.933 0.739 0.000
0.000 0.000 0.000
0.036 0.369 0.500
0.101 0.101 0.500
0.131 0.536 0.000
0.369 0.036 0.500
0.399 0.601 0.000
0.464 0.869 0.000
0.500 0.500 0.500
0.536 0.131 0.000
0.601 0.399 0.000
0.631 0.964 0.500
0.869 0.464 0.000
0.899 0.899 0.500
0.964 0.631 0.500
```

The 10 most intense peaks (15° ≤ 2θ ≤ 90°), sorted by position:
- 2θ 35.72, d = 2.514 Å, I 21
- 2θ 38.42, d = 2.343 Å, I 85
- 2θ 39.58, d = 2.277 Å, I 37
- 2θ 40.45, d = 2.230 Å, I 34
- 2θ 41.56, d = 2.173 Å, I 67
- 2θ 42.57, d = 2.124 Å, I 100
- 2θ 43.64, d = 2.074 Å, I 50
- 2θ 67.74, d = 1.383 Å, I 21
- 2θ 68.89, d = 1.363 Å, I 24
- 2θ 71.04, d = 1.327 Å, I 17

***

Diffraction record for Re11W4. The XRD peak list is calculated, not measured: it uses a GGA-PBE-relaxed structure and CuKα.
Kinematic intensities with the Lorentz-polarization factor, no thermal factor.

```
Re11W4
1.0
9.604 0.000 0.000
0.000 9.604 0.000
0.000 0.000 5.001
Re W
22 8
Direct
0.000 0.000 0.000
0.067 0.260 0.000
0.099 0.099 0.500
0.182 0.818 0.251
0.182 0.818 0.749
0.240 0.567 0.500
0.260 0.067 0.000
0.318 0.318 0.249
0.318 0.318 0.751
0.401 0.599 0.000
0.433 0.760 0.500
0.500 0.500 0.500
0.567 0.240 0.500
0.599 0.401 0.000
0.682 0.682 0.249
0.682 0.682 0.751
0.740 0.933 0.000
0.760 0.433 0.500
0.818 0.182 0.251
0.818 0.182 0.749
0.901 0.901 0.500
0.933 0.740 0.000
0.037 0.366 0.500
0.134 0.537 0.000
0.366 0.037 0.500
0.463 0.866 0.000
0.537 0.134 0.000
0.634 0.963 0.500
0.866 0.463 0.000
0.963 0.634 0.500
```

The 10 most intense peaks (15° ≤ 2θ ≤ 90°), sorted by position:
- 2θ 35.91, d = 2.501 Å, I 21
- 2θ 38.65, d = 2.329 Å, I 88
- 2θ 39.82, d = 2.264 Å, I 38
- 2θ 40.68, d = 2.218 Å, I 34
- 2θ 41.80, d = 2.161 Å, I 70
- 2θ 42.83, d = 2.112 Å, I 100
- 2θ 43.90, d = 2.062 Å, I 51
- 2θ 68.17, d = 1.376 Å, I 20
- 2θ 69.31, d = 1.356 Å, I 24
- 2θ 88.82, d = 1.102 Å, I 18

***

Diffraction record for Re5W8. The XRD peak list is calculated, not measured: it uses a GGA-PBE-relaxed structure and CuKα.
Kinematic intensities with the Lorentz-polarization factor, no thermal factor.

```
Re5W8
1.0
2.566 1.481 9.226
-2.566 1.481 9.226
0.000 -2.963 9.226
Re W
5 8
Direct
0.000 0.000 0.000
0.348 0.348 0.348
0.456 0.456 0.456
0.544 0.544 0.544
0.652 0.652 0.652
0.090 0.090 0.587
0.090 0.587 0.090
0.167 0.167 0.167
0.413 0.910 0.910
0.587 0.090 0.090
0.833 0.833 0.833
0.910 0.413 0.910
0.910 0.910 0.413
```

The 10 most intense peaks (15° ≤ 2θ ≤ 90°), sorted by position:
- 2θ 34.97, d = 2.566 Å, I 44
- 2θ 38.31, d = 2.349 Å, I 39
- 2θ 39.05, d = 2.307 Å, I 23
- 2θ 40.22, d = 2.242 Å, I 100
- 2θ 40.73, d = 2.215 Å, I 43
- 2θ 41.21, d = 2.191 Å, I 67
- 2θ 43.90, d = 2.062 Å, I 46
- 2θ 66.26, d = 1.410 Å, I 23
- 2θ 66.98, d = 1.397 Å, I 26
- 2θ 73.87, d = 1.283 Å, I 34

***

Diffraction record for Re5W24. The XRD peak list is calculated, not measured: it uses a GGA-PBE-relaxed structure and CuKα.
Kinematic intensities with the Lorentz-polarization factor, no thermal factor.

```
Re5W24
1.0
-4.914 4.914 4.914
4.914 -4.914 4.914
4.914 4.914 -4.914
Re W
5 24
Direct
0.000 0.000 0.000
0.000 0.000 0.639
0.000 0.639 0.000
0.361 0.361 0.361
0.639 0.000 0.000
0.000 0.190 0.378
0.000 0.378 0.190
0.000 0.411 0.690
0.000 0.690 0.411
0.188 0.810 0.810
0.190 0.000 0.378
0.190 0.378 0.000
0.278 0.589 0.589
0.310 0.310 0.722
0.310 0.722 0.310
0.378 0.000 0.190
0.378 0.190 0.000
0.411 0.000 0.690
0.411 0.690 0.000
0.589 0.278 0.589
0.589 0.589 0.278
0.622 0.622 0.812
0.622 0.812 0.622
0.690 0.000 0.411
0.690 0.411 0.000
0.722 0.310 0.310
0.810 0.188 0.810
0.810 0.810 0.188
0.812 0.622 0.622
```

The 10 most intense peaks (15° ≤ 2θ ≤ 90°), sorted by position:
- 2θ 36.57, d = 2.457 Å, I 10
- 2θ 38.88, d = 2.317 Å, I 100
- 2θ 43.17, d = 2.095 Å, I 32
- 2θ 45.20, d = 2.006 Å, I 11
- 2θ 47.15, d = 1.927 Å, I 17
- 2θ 67.37, d = 1.390 Å, I 12
- 2θ 70.40, d = 1.337 Å, I 25
- 2θ 76.29, d = 1.248 Å, I 6
- 2θ 83.45, d = 1.158 Å, I 8
- 2θ 84.87, d = 1.143 Å, I 7

***

Diffraction record for Re3W10. The XRD peak list is calculated, not measured: it uses a GGA-PBE-relaxed structure and CuKα.
Kinematic intensities with the Lorentz-polarization factor, no thermal factor.

```
Re3W10
1.0
2.575 1.487 9.272
-2.575 1.487 9.272
0.000 -2.973 9.272
Re W
3 10
Direct
0.000 0.000 0.000
0.456 0.456 0.456
0.544 0.544 0.544
0.089 0.089 0.586
0.089 0.586 0.089
0.167 0.167 0.167
0.346 0.346 0.346
0.414 0.911 0.911
0.586 0.089 0.089
0.654 0.654 0.654
0.833 0.833 0.833
0.911 0.414 0.911
0.911 0.911 0.414
```

The 10 most intense peaks (15° ≤ 2θ ≤ 90°), sorted by position:
- 2θ 34.84, d = 2.575 Å, I 43
- 2θ 38.13, d = 2.360 Å, I 37
- 2θ 38.85, d = 2.318 Å, I 26
- 2θ 40.05, d = 2.251 Å, I 100
- 2θ 40.58, d = 2.223 Å, I 42
- 2θ 41.02, d = 2.200 Å, I 62
- 2θ 43.73, d = 2.070 Å, I 44
- 2θ 65.99, d = 1.416 Å, I 23
- 2θ 66.68, d = 1.403 Å, I 23
- 2θ 73.56, d = 1.288 Å, I 33

***

Diffraction record for Re2W11. The XRD peak list is calculated, not measured: it uses a GGA-PBE-relaxed structure and CuKα.
Kinematic intensities with the Lorentz-polarization factor, no thermal factor.

```
Re2W11
1.0
2.581 1.490 9.295
-2.581 1.490 9.295
0.000 -2.980 9.295
Re W
2 11
Direct
0.044 0.044 0.044
0.956 0.956 0.956
0.086 0.588 0.588
0.154 0.154 0.154
0.333 0.333 0.333
0.412 0.412 0.914
0.412 0.914 0.412
0.500 0.500 0.500
0.588 0.086 0.588
0.588 0.588 0.086
0.667 0.667 0.667
0.846 0.846 0.846
0.914 0.412 0.412
```

The 10 most intense peaks (15° ≤ 2θ ≤ 90°), sorted by position:
- 2θ 34.76, d = 2.581 Å, I 42
- 2θ 38.03, d = 2.366 Å, I 35
- 2θ 38.75, d = 2.324 Å, I 26
- 2θ 39.95, d = 2.257 Å, I 100
- 2θ 40.48, d = 2.228 Å, I 43
- 2θ 40.92, d = 2.206 Å, I 63
- 2θ 43.62, d = 2.075 Å, I 43
- 2θ 65.81, d = 1.419 Å, I 23
- 2θ 66.50, d = 1.406 Å, I 23
- 2θ 73.36, d = 1.291 Å, I 33

***

- Number 3 is which compound?
  Re2W13

***

- What is the formula in the ninth record?
  Re3W10